No. 1
This entry pairs a crystal structure of MnV4FeO12 with its theoretical X-ray powder pattern. Radiation: Cu Kα. Structure: a structure optimized by DFT (PBE+U).
Neutral-atom scattering factors, no anomalous dispersion.

Cell and atoms:
```
18
Lattice="5.1346 -4.6346 0.0000 5.1346 4.6346 0.0000 -2.1209 0.0000 5.5478" Properties=species:S:1:pos:R:3 pbc="T T T"
Mn 0.0000 0.0000 0.0000
V 1.9707 0.0067 2.8596
V 3.0264 -1.6496 0.0699
V 6.1777 0.0067 2.6882
V 5.1220 -1.6496 5.4779
Fe 4.0742 2.9916 2.7739
O 3.6832 3.0890 0.6044
O 0.3738 -0.0894 2.2260
O 2.5152 1.5884 2.9992
O 4.4651 3.0890 4.9434
O 2.0015 -0.8074 4.4663
O 3.0280 -0.8457 1.6843
O 5.6332 1.5884 2.5486
O 3.5284 -3.2429 0.2200
O 6.1469 -0.8074 1.0815
O 5.1203 -0.8457 3.8635
O 7.7745 -0.0894 3.3218
O 4.6200 -3.2429 5.3278
```

Main lines, low angle first (2θ = 10–90°):
Position (°2θ)  I_rel
18.09  378
19.15  477
23.27  285
27.59  1000
29.55  618
32.27  442

---

No. 2
This entry pairs a crystal structure of LiFeP3O9 with its theoretical X-ray powder pattern. Radiation: Cu Kα. Structure: a structure optimized by DFT (PBE+U).
Neutral-atom scattering factors, no anomalous dispersion.

Cell and atoms:
```
56
Lattice="9.4694 0.0000 0.0000 -3.3420 8.9195 0.0000 -2.4424 -4.2602 8.4442" Properties=species:S:1:pos:R:3 pbc="T T T"
Li -0.8529 1.8409 1.8050
Li -2.1945 3.7490 6.2620
Li 5.8795 0.9104 2.1822
Li 4.5379 2.8184 6.6392
Fe -1.2177 6.1682 4.2863
Fe 2.2450 0.2712 2.5294
Fe 1.4401 4.3881 5.9148
Fe 4.9027 -1.5089 4.1579
P -2.8101 0.7777 5.4609
P -2.5719 6.3460 1.3135
P -0.6825 -3.1724 7.7322
P 0.1815 1.3258 5.0101
P 1.0590 4.6476 2.4490
P 1.4440 7.1617 0.8856
P 2.2411 -2.5024 7.5586
P 2.6260 0.0117 5.9952
P 3.5035 3.3336 3.4340
P 4.3676 7.8317 0.7119
P 6.2570 -1.6867 7.1307
P 6.4951 3.8816 2.9833
O -3.1173 -0.1242 6.7535
O -3.1968 2.1822 5.7249
O -4.4127 2.2614 8.4312
O -1.6538 -2.0534 7.0963
O -3.9330 4.6126 6.7776
O -2.3655 4.5720 4.1931
O -1.2136 0.6248 5.3300
O -1.8797 7.0766 2.5023
O 1.4016 0.8428 0.7387
O 0.1517 3.5106 2.2677
O 0.5789 1.0062 3.5952
O 0.6573 -2.2611 7.6647
O -1.5778 3.3201 8.0472
O 0.9879 5.6342 1.2006
O 0.1924 2.7641 5.4751
O 1.0727 0.4093 6.0178
O -0.7879 5.5858 6.2967
O 0.8191 5.4880 3.7583
O 2.8659 -0.8286 4.6858
O 4.4730 -0.9265 2.1475
O 2.6123 4.2500 2.4264
O 3.4926 1.8952 2.9691
O 2.6971 -0.9748 7.2436
O 5.2629 1.3392 0.3969
O 3.0277 6.9205 0.7795
O 3.1061 3.6531 4.8490
O 3.5334 1.1487 6.1764
O 2.2834 3.8165 7.7055
O 5.5647 -2.4172 5.9419
O 4.8987 4.0345 3.1142
O 6.0505 0.0873 4.2511
O 7.6180 0.0467 1.6666
O 5.3388 6.7127 1.3478
O 8.0977 2.3979 0.0130
O 6.8819 2.4772 2.7193
O 6.8023 4.7835 1.6907
```

Main lines, low angle first (2θ = 10–90°):
Position (°2θ)  I_rel
18.44  572
25.63  505
28.06  489
30.42  488
30.70  1000
33.18  497

---

No. 3
This entry pairs a crystal structure of VTeO4 with its theoretical X-ray powder pattern. Radiation: Cu Kα. Structure: a structure optimized by DFT (PBE+U).
Neutral-atom scattering factors, no anomalous dispersion.

Cell and atoms:
```
24
Lattice="5.1399 0.0000 0.0000 0.0000 5.0415 0.0000 -3.6095 0.0000 12.2823" Properties=species:S:1:pos:R:3 pbc="T T T"
V 0.3367 1.1414 0.8247
V -1.4681 1.3794 6.9659
V 2.9985 3.6621 5.3165
V 1.1938 3.9002 11.4576
Te 0.4619 0.9903 4.0952
Te -1.3428 1.5305 10.2363
Te 2.8733 3.5111 2.0460
Te 1.0686 4.0512 8.1872
O -0.4016 0.3981 2.4786
O -2.2063 2.1226 8.6197
O -0.8850 0.2430 5.3023
O -2.6897 2.2778 11.4435
O -0.6151 2.7732 6.3483
O 1.1896 4.7891 0.2072
O -0.1194 0.5528 8.1567
O 1.6853 1.9680 2.0155
O -0.1548 3.0736 10.2668
O 1.6499 4.4887 4.1257
O 0.3409 0.2524 12.0752
O 2.1456 2.2683 5.9340
O 4.2202 2.7638 0.8389
O 2.4155 4.7985 6.9801
O 3.7368 2.9189 3.6626
O 1.9321 4.6434 9.8038
```

Main lines, low angle first (2θ = 10–90°):
Position (°2θ)  I_rel
25.26  1000
26.17  345
26.50  469
29.62  359
34.19  357
46.99  364